Diffraction record for Sc2TaFe. The XRD peak list is computed, not measured: it uses a GGA-PBE-relaxed structure and Cu Kα X-rays.
Lines closer than 0.1° are merged.

```
16
Lattice="6.5106 0.0000 0.0000 0.0000 6.5106 0.0000 0.0000 0.0000 6.5106" Properties=species:S:1:pos:R:3 pbc="T T T"
Sc 0.0000 0.0000 0.0000
Sc 0.0000 3.2553 3.2553
Sc 1.6276 1.6276 1.6276
Sc 1.6276 4.8829 4.8829
Sc 3.2553 0.0000 3.2553
Sc 3.2553 3.2553 0.0000
Sc 4.8829 1.6276 4.8829
Sc 4.8829 4.8829 1.6276
Ta 0.0000 0.0000 3.2553
Ta 0.0000 3.2553 0.0000
Ta 3.2553 0.0000 0.0000
Ta 3.2553 3.2553 3.2553
Fe 1.6276 1.6276 4.8829
Fe 1.6276 4.8829 1.6276
Fe 4.8829 1.6276 1.6276
Fe 4.8829 4.8829 4.8829
```

Peak list (10 most intense, 2θ = 10–80°, most intense first)
2θ/deg	I/Imax	hkl
39.1	100.0	2 2 0
23.7	40.5	1 1 1
70.9	32.6	4 2 2
46.2	21.9	3 1 1
27.4	16.8	2 0 0
56.5	16.5	4 0 0
62.1	9.4	3 3 1
75.9	7.2	5 1 1
63.9	6.9	4 2 0
48.4	5.1	2 2 2